Structure and calculated powder diffractogram of Ho5Mg24 (the GGA-PBE geometry in the Materials Project; copper Kα).

Atomic structure:
a = 9.7527 Å, b = 9.7527 Å, c = 9.7527 Å
α = 109.47°, β = 109.47°, γ = 109.47°
Fractional positions:
1 Ho 0.0000 0.0000 0.0000
2 Ho 0.0000 0.0000 0.6314
3 Ho 0.0000 0.6314 0.0000
4 Ho 0.3686 0.3686 0.3686
5 Ho 0.6314 0.0000 0.0000
6 Mg 0.0000 0.1915 0.3707
7 Mg 0.0000 0.3707 0.1915
8 Mg 0.0000 0.3938 0.6786
9 Mg 0.0000 0.6786 0.3938
10 Mg 0.1792 0.8085 0.8085
11 Mg 0.1915 0.0000 0.3707
12 Mg 0.1915 0.3707 0.0000
13 Mg 0.2848 0.6062 0.6062
14 Mg 0.3214 0.3214 0.7152
15 Mg 0.3214 0.7152 0.3214
16 Mg 0.3707 0.0000 0.1915
17 Mg 0.3707 0.1915 0.0000
18 Mg 0.3938 0.0000 0.6786
19 Mg 0.3938 0.6786 0.0000
20 Mg 0.6062 0.2848 0.6062
21 Mg 0.6062 0.6062 0.2848
22 Mg 0.6293 0.6293 0.8208
23 Mg 0.6293 0.8208 0.6293
24 Mg 0.6786 0.0000 0.3938
25 Mg 0.6786 0.3938 0.0000
26 Mg 0.7152 0.3214 0.3214
27 Mg 0.8085 0.1792 0.8085
28 Mg 0.8085 0.8085 0.1792
29 Mg 0.8208 0.6293 0.6293

Principal peaks in the range 10 to 80 degrees two-theta, in order of rising 2θ:
- 2θ 11.11, d 7.963, I = 29
- 2θ 19.31, d 4.597, I = 39
- 2θ 22.33, d 3.982, I = 17
- 2θ 29.68, d 3.010, I = 27
- 2θ 33.77, d 2.654, I = 100
- 2θ 39.19, d 2.299, I = 13
- 2θ 49.92, d 1.827, I = 20
- 2θ 60.40, d 1.532, I = 26


Structure and calculated powder diffractogram of NdHoMg2 (the GGA-PBE geometry in the Materials Project; copper Kα).

Atomic structure:
a = 5.4209 Å, b = 5.4209 Å, c = 5.4209 Å
α = 60.00°, β = 60.00°, γ = 60.00°
Fractional positions:
1 Nd 0.0000 0.0000 0.0000
2 Ho 0.5000 0.5000 0.5000
3 Mg 0.2500 0.2500 0.2500
4 Mg 0.7500 0.7500 0.7500

Principal peaks in the range 10 to 80 degrees two-theta, in order of rising 2θ:
- 2θ 23.20, d 3.833, I = 62
- 2θ 33.05, d 2.710, I = 100
- 2θ 40.77, d 2.213, I = 19
- 2θ 47.44, d 1.917, I = 18
- 2θ 53.45, d 1.714, I = 26
- 2θ 59.03, d 1.565, I = 38
- 2θ 74.22, d 1.278, I = 13
- 2θ 78.99, d 1.212, I = 16


Structure and calculated powder diffractogram of Ho4MgNi (the GGA-PBE geometry in the Materials Project; copper Kα).

Atomic structure:
a = 9.5740 Å, b = 9.5740 Å, c = 9.5740 Å
α = 60.00°, β = 60.00°, γ = 60.00°
Fractional positions:
1 Ho 0.1856 0.1856 0.8144
2 Ho 0.1856 0.8144 0.1856
3 Ho 0.1856 0.8144 0.8144
4 Ho 0.4028 0.4028 0.4028
5 Ho 0.4028 0.4028 0.7915
6 Ho 0.4028 0.7915 0.4028
7 Ho 0.5628 0.5628 0.9372
8 Ho 0.5628 0.9372 0.5628
9 Ho 0.5628 0.9372 0.9372
10 Ho 0.7915 0.4028 0.4028
11 Ho 0.8144 0.1856 0.1856
12 Ho 0.8144 0.1856 0.8144
13 Ho 0.8144 0.8144 0.1856
14 Ho 0.9372 0.5628 0.5628
15 Ho 0.9372 0.5628 0.9372
16 Ho 0.9372 0.9372 0.5628
17 Mg 0.1697 0.1697 0.1697
18 Mg 0.1697 0.1697 0.4908
19 Mg 0.1697 0.4908 0.1697
20 Mg 0.4908 0.1697 0.1697
21 Ni 0.1769 0.6077 0.6077
22 Ni 0.6077 0.1769 0.6077
23 Ni 0.6077 0.6077 0.1769
24 Ni 0.6077 0.6077 0.6077

Principal peaks in the range 10 to 80 degrees two-theta, in order of rising 2θ:
- 2θ 11.32, d 7.817, I = 15
- 2θ 28.74, d 3.106, I = 57
- 2θ 32.39, d 2.764, I = 64
- 2θ 34.42, d 2.606, I = 100
- 2θ 37.58, d 2.394, I = 29
- 2θ 55.56, d 1.654, I = 20
- 2θ 57.78, d 1.596, I = 58
- 2θ 59.09, d 1.563, I = 15


Structure and calculated powder diffractogram of HoMgSn2O6 (the GGA-PBE geometry in the Materials Project; copper Kα).

Atomic structure:
a = 8.1118 Å, b = 5.7512 Å, c = 5.4980 Å
α = 90.00°, β = 90.00°, γ = 90.00°
Fractional positions:
1 Ho 0.0000 0.1835 0.0000
2 Ho 0.5000 0.8165 0.5000
3 Mg 0.0000 0.7245 0.4830
4 Mg 0.5000 0.2755 0.9830
5 Sn 0.2496 0.2604 0.4840
6 Sn 0.2504 0.7396 0.9840
7 Sn 0.7504 0.2604 0.4840
8 Sn 0.7496 0.7396 0.9840
9 O 0.0000 0.3386 0.6188
10 O 0.0000 0.8189 0.8384
11 O 0.1738 0.9361 0.2970
12 O 0.1822 0.4281 0.1548
13 O 0.3178 0.5719 0.6548
14 O 0.3262 0.0639 0.7970
15 O 0.5000 0.1811 0.3384
16 O 0.5000 0.6614 0.1188
17 O 0.6738 0.0639 0.7970
18 O 0.6822 0.5719 0.6548
19 O 0.8178 0.4281 0.1548
20 O 0.8262 0.9361 0.2970

Principal peaks in the range 10 to 80 degrees two-theta, in order of rising 2θ:
- 2θ 18.92, d 4.692, I = 17
- 2θ 19.50, d 4.551, I = 20
- 2θ 31.10, d 2.876, I = 21
- 2θ 31.52, d 2.839, I = 100
- 2θ 32.57, d 2.749, I = 22
- 2θ 45.66, d 1.987, I = 19
- 2θ 55.60, d 1.653, I = 14
- 2θ 57.46, d 1.604, I = 24


Structure and calculated powder diffractogram of Ho2MgTiO6 (the GGA-PBE geometry in the Materials Project; copper Kα).

Atomic structure:
a = 5.3187 Å, b = 5.6312 Å, c = 9.3237 Å
α = 90.00°, β = 124.19°, γ = 90.00°
Fractional positions:
1 Ho 0.2264 0.0652 0.2453
2 Ho 0.2264 0.4348 0.7453
3 Ho 0.7736 0.5652 0.2547
4 Ho 0.7736 0.9348 0.7547
5 Mg 0.0000 0.0000 0.5000
6 Mg 0.0000 0.5000 0.0000
7 Ti 0.5000 0.0000 0.0000
8 Ti 0.5000 0.5000 0.5000
9 O 0.1448 0.1881 0.9459
10 O 0.1448 0.3119 0.4459
11 O 0.2477 0.7056 0.9333
12 O 0.2477 0.7944 0.4333
13 O 0.3759 0.0493 0.7577
14 O 0.3759 0.4507 0.2577
15 O 0.6241 0.5493 0.7423
16 O 0.6241 0.9507 0.2423
17 O 0.7523 0.2056 0.5667
18 O 0.7523 0.2944 0.0667
19 O 0.8552 0.6881 0.5541
20 O 0.8552 0.8119 0.0541

Principal peaks in the range 10 to 80 degrees two-theta, in order of rising 2θ:
- 2θ 23.03, d 3.862, I = 100
- 2θ 31.78, d 2.816, I = 24
- 2θ 32.68, d 2.740, I = 69
- 2θ 32.93, d 2.720, I = 69
- 2θ 33.70, d 2.659, I = 33
- 2θ 47.00, d 1.933, I = 23
- 2θ 53.08, d 1.725, I = 33
- 2θ 59.49, d 1.554, I = 24


Structure and calculated powder diffractogram of HoMgPd (the GGA-PBE geometry in the Materials Project; copper Kα).

Atomic structure:
a = 7.5070 Å, b = 7.5070 Å, c = 4.0080 Å
α = 90.00°, β = 90.00°, γ = 120.00°
Fractional positions:
1 Ho 0.0000 0.5894 0.0000
2 Ho 0.4106 0.4106 0.0000
3 Ho 0.5894 0.0000 0.0000
4 Mg 0.0000 0.2481 0.5000
5 Mg 0.2481 0.0000 0.5000
6 Mg 0.7519 0.7519 0.5000
7 Pd 0.0000 0.0000 0.0000
8 Pd 0.3333 0.6667 0.5000
9 Pd 0.6667 0.3333 0.5000

Principal peaks in the range 10 to 80 degrees two-theta, in order of rising 2θ:
- 2θ 23.70, d 3.753, I = 39
- 2θ 27.44, d 3.251, I = 25
- 2θ 32.69, d 2.740, I = 93
- 2θ 35.56, d 2.525, I = 100
- 2θ 41.68, d 2.167, I = 32
- 2θ 43.18, d 2.095, I = 26
- 2θ 55.92, d 1.644, I = 26
- 2θ 77.15, d 1.236, I = 26